Theoretical PXRD pattern of Ca4Al6CrO16 for Cu Kα (λ = 1.5418 Å), from a structure optimized by DFT (PBE+U).

Cell and atoms:
```
data_Ca4Al6CrO16
_symmetry_space_group_name_H-M 'I -4'
_symmetry_Int_Tables_number 82
_cell_length_a 9.329
_cell_length_b 9.329
_cell_length_c 9.481
_cell_angle_alpha 90.00
_cell_angle_beta 90.00
_cell_angle_gamma 90.00
loop_
_symmetry_equiv_pos_as_xyz
'x,y,z'
'y,-x,-z'
'-x,-y,z'
'-y,x,-z'
'x+1/2,y+1/2,z+1/2'
'y+1/2,-x+1/2,-z+1/2'
'-x+1/2,-y+1/2,z+1/2'
'-y+1/2,x+1/2,-z+1/2'
loop_
_atom_site_label
_atom_site_type_symbol
_atom_site_fract_x
_atom_site_fract_y
_atom_site_fract_z
_atom_site_occupancy
Ca1 Ca 0.209 0.261 0.024 1
Al1 Al 0.000 0.000 0.000 1
Al2 Al 0.000 0.000 0.500 1
Al3 Al 0.013 0.248 0.745 1
Cr1 Cr 0.000 0.500 0.250 1
O1 O 0.018 0.355 0.149 1
O2 O 0.025 0.842 0.904 1
O3 O 0.067 0.150 0.595 1
O4 O 0.149 0.664 0.704 1
```

Principal peaks in the range 2θ = 10–90°, low angle first:
two_theta, I (rel.)
23.10, 49
23.29, 100
26.81, 19
33.09, 36
38.60, 14
40.70, 13
41.01, 17
55.26, 14